No. 1
Diffraction record for YHoTeO2. The PXRD pattern is computed, not measured: it uses a structure optimized by DFT (GGA-PBE) and a wavelength of 1.5418 Å.
Intensities are scaled so that the largest is 100.

Structure:
Cell: 6.7926 6.7926 6.7926 Å, 146.55 146.55 48.03°
Atoms (fractional coordinates):
Y (0.0000, 0.0000, 0.0000)
Ho (0.3248, 0.3248, 0.0000)
Te (0.6617, 0.6617, 0.0000)
O (0.4105, 0.9105, 0.5000)
O (0.9105, 0.4105, 0.5000)

Top 8 peaks for 15 to 90 degrees two-theta, sorted by position:
| d (Å) | I/Imax |
| --- | --- |
| 2.841 | 100.0 |
| 2.764 | 38.5 |
| 2.067 | 10.3 |
| 1.955 | 19.8 |
| 1.656 | 23.2 |
| 1.610 | 36.2 |
| 1.421 | 10.2 |
| 1.300 | 8.5 |

---

No. 2
Diffraction record for HoTmO4. The PXRD pattern is computed, not measured: it uses a structure optimized by DFT (GGA-PBE) and a wavelength of 1.5418 Å.
Intensities are scaled so that the largest is 100.

Structure:
Cell: 3.8349 3.8349 6.0858 Å, 95.46 95.46 56.82°
Atoms (fractional coordinates):
Ho (0.0000, 0.0000, 0.0000)
Tm (0.3638, 0.3638, 0.4568)
O (0.0357, 0.0357, 0.3774)
O (0.3286, 0.3286, 0.0854)
O (0.5879, 0.5879, 0.7790)
O (0.7756, 0.7756, 0.6720)

Top 8 peaks for 15 to 90 degrees two-theta, sorted by position:
| d (Å) | I/Imax |
| --- | --- |
| 3.353 | 30.8 |
| 3.025 | 47.0 |
| 2.895 | 100.0 |
| 2.807 | 33.2 |
| 2.774 | 37.2 |
| 2.145 | 20.3 |
| 1.906 | 32.2 |
| 1.748 | 27.3 |

---

No. 3
Diffraction record for Ho5Os2. The PXRD pattern is computed, not measured: it uses a structure optimized by DFT (GGA-PBE) and a wavelength of 1.5418 Å.
Intensities are scaled so that the largest is 100.

Structure:
Cell: 8.3691 8.3691 7.3309 Å, 96.94 96.94 44.44°
Atoms (fractional coordinates):
Ho (0.0792, 0.9208, 0.7500)
Ho (0.1414, 0.2945, 0.3180)
Ho (0.2935, 0.5242, 0.0834)
Ho (0.2945, 0.1414, 0.8180)
Ho (0.4758, 0.7065, 0.4166)
Ho (0.5242, 0.2935, 0.5834)
Ho (0.7055, 0.8586, 0.1820)
Ho (0.7065, 0.4758, 0.9166)
Ho (0.8586, 0.7055, 0.6820)
Ho (0.9208, 0.0792, 0.2500)
Os (0.1034, 0.6770, 0.4215)
Os (0.3230, 0.8966, 0.0785)
Os (0.6770, 0.1034, 0.9215)
Os (0.8966, 0.3230, 0.5785)

Top 8 peaks for 15 to 90 degrees two-theta, sorted by position:
| d (Å) | I/Imax |
| --- | --- |
| 4.451 | 57.0 |
| 2.902 | 53.4 |
| 2.831 | 71.8 |
| 2.763 | 100.0 |
| 2.669 | 45.3 |
| 2.559 | 61.8 |
| 2.486 | 93.2 |
| 2.279 | 56.8 |

---

No. 4
Diffraction record for Ho3Sc3SbTeOs. The PXRD pattern is computed, not measured: it uses a structure optimized by DFT (GGA-PBE) and a wavelength of 1.5418 Å.
Intensities are scaled so that the largest is 100.

Structure:
Cell: 7.8785 7.8785 4.0721 Å, 90.00 90.00 120.00°
Atoms (fractional coordinates):
Ho (0.0033, 0.6131, 0.0000)
Ho (0.3869, 0.3902, 0.0000)
Ho (0.6098, 0.9967, 0.0000)
Sc (0.0010, 0.2307, 0.5000)
Sc (0.2297, 0.9990, 0.5000)
Sc (0.7693, 0.7703, 0.5000)
Sb (0.3333, 0.6667, 0.5000)
Te (0.6667, 0.3333, 0.5000)
Os (0.0000, 0.0000, 0.0000)

Top 8 peaks for 15 to 90 degrees two-theta, sorted by position:
| d (Å) | I/Imax |
| --- | --- |
| 3.939 | 50.9 |
| 2.831 | 100.0 |
| 2.615 | 99.1 |
| 2.274 | 61.2 |
| 2.179 | 47.7 |
| 2.036 | 27.3 |
| 1.517 | 34.3 |
| 1.461 | 37.2 |

---

No. 5
Diffraction record for YHo2Tm3Sb2Os. The PXRD pattern is computed, not measured: it uses a structure optimized by DFT (GGA-PBE) and a wavelength of 1.5418 Å.
Intensities are scaled so that the largest is 100.

Structure:
Cell: 4.2083 8.1031 8.1031 Å, 119.80 90.00 90.00°
Atoms (fractional coordinates):
Y (0.0000, 0.0000, 0.0000)
Ho (0.0000, 0.3946, 0.7869)
Ho (0.0000, 0.7869, 0.3946)
Tm (0.5000, 0.1596, 0.3951)
Tm (0.5000, 0.3951, 0.1596)
Tm (0.5000, 0.6298, 0.6298)
Sb (0.5000, 0.0612, 0.7275)
Sb (0.5000, 0.7275, 0.0612)
Os (0.0000, 0.3968, 0.3968)

Top 8 peaks for 15 to 90 degrees two-theta, sorted by position:
| d (Å) | I/Imax |
| --- | --- |
| 2.920 | 100.0 |
| 2.697 | 94.2 |
| 2.657 | 36.7 |
| 2.344 | 28.3 |
| 2.247 | 43.3 |
| 2.104 | 31.0 |
| 1.649 | 29.7 |
| 1.504 | 25.4 |

---

No. 6
Diffraction record for YHoSi2Os. The PXRD pattern is computed, not measured: it uses a structure optimized by DFT (GGA-PBE) and a wavelength of 1.5418 Å.
Intensities are scaled so that the largest is 100.

Structure:
Cell: 5.7415 5.7415 9.9958 Å, 116.78 116.78 43.11°
Atoms (fractional coordinates):
Y (0.0084, 0.0084, 0.1788)
Y (0.9916, 0.9916, 0.8212)
Ho (0.1852, 0.1852, 0.6105)
Ho (0.8148, 0.8148, 0.3895)
Si (0.3548, 0.3548, 0.9391)
Si (0.4976, 0.4976, 0.6248)
Si (0.5024, 0.5024, 0.3752)
Si (0.6452, 0.6452, 0.0609)
Os (0.2705, 0.2705, 0.1271)
Os (0.7295, 0.7295, 0.8729)

Top 8 peaks for 15 to 90 degrees two-theta, sorted by position:
| d (Å) | I/Imax |
| --- | --- |
| 4.672 | 45.6 |
| 3.223 | 81.7 |
| 2.668 | 68.2 |
| 2.638 | 100.0 |
| 2.423 | 51.8 |
| 2.193 | 45.1 |
| 2.186 | 30.5 |
| 2.109 | 45.5 |